Record 1
Starting from a crystal structure in OQMD, relaxed with GGA-PBE, the powder XRD pattern of Ag2Cl13 was simulated for a wavelength of 1.5418 Å.

Principal peaks in the range 2θ from 10° to 90°, in order of falling intensity:
d = 3.872 Å, I 100
d = 3.671 Å, I 85
d = 7.812 Å, I 84
d = 5.812 Å, I 82
d = 7.498 Å, I 79
d = 2.927 Å, I 58

Structure:
```
Ag2Cl13
1.0
7.584 0.000 0.000
0.531 7.747 0.000
1.072 0.231 7.812
Ag Cl
2 13
Cartesian
1.403 2.361 3.529
7.784 5.618 4.283
0.536 0.116 3.906
2.201 6.609 6.519
1.506 5.520 0.492
2.173 4.683 3.214
4.077 1.870 7.730
3.367 1.520 2.547
3.964 1.850 5.690
5.223 6.129 2.122
5.820 6.458 5.265
5.110 6.109 0.083
7.014 3.296 4.598
7.682 2.458 7.321
6.987 1.370 1.294
```

***

Record 2
Starting from a crystal structure in OQMD, relaxed with GGA-PBE, the powder XRD pattern of Ag3Cl4 was simulated for a wavelength of 1.5418 Å.

Principal peaks in the range 2θ from 10° to 90°, in order of falling intensity:
d = 2.020 Å, I 100
d = 3.617 Å, I 86
d = 3.243 Å, I 69
d = 3.272 Å, I 63
d = 4.041 Å, I 39
d = 2.670 Å, I 33

Structure:
```
Ag3Cl4
1.0
-3.746 3.805 6.182
3.746 -3.805 6.182
3.746 3.805 -6.182
Ag Cl
6 8
Cartesian
0.000 0.000 0.000
1.873 1.903 -3.091
1.873 -1.903 3.091
3.746 1.903 1.566
0.000 3.805 0.000
0.000 1.903 4.616
3.746 3.693 -3.149
3.746 -0.112 3.149
1.767 1.903 -0.061
1.979 -1.903 6.120
1.767 5.708 0.061
1.979 1.903 6.243
0.000 3.917 3.033
0.000 0.112 9.331
```

***

Record 3
Starting from a crystal structure in OQMD, relaxed with GGA-PBE, the powder XRD pattern of AgCl3 was simulated for a wavelength of 1.5418 Å.

Principal peaks in the range 2θ from 10° to 90°, in order of falling intensity:
d = 3.306 Å, I 100
d = 5.736 Å, I 88
d = 2.421 Å, I 36
d = 5.780 Å, I 32
d = 2.279 Å, I 31
d = 3.590 Å, I 27

Structure:
```
AgCl3
1.0
5.982 0.000 0.000
0.611 6.370 0.000
1.819 2.103 5.780
Ag Cl
2 6
Cartesian
0.525 1.404 0.944
7.887 7.069 4.836
2.680 5.888 3.003
3.102 2.312 4.787
2.256 2.963 0.768
6.156 5.510 5.012
5.310 6.162 0.993
5.732 2.586 2.777
```

***

Record 4
Starting from a crystal structure in OQMD, relaxed with GGA-PBE, the powder XRD pattern of Cs2DyAgCl6 was simulated for a wavelength of 1.5418 Å.

Principal peaks in the range 2θ from 10° to 90°, in order of falling intensity:
d = 3.804 Å, I 100
d = 2.690 Å, I 54
d = 2.196 Å, I 46
d = 1.902 Å, I 37
d = 1.438 Å, I 24
d = 1.701 Å, I 21

Structure:
```
Cs2DyAgCl6
1.0
0.000 5.380 5.380
5.380 0.000 5.380
5.380 5.380 0.000
Cs Dy Ag Cl
2 1 1 6
Cartesian
2.690 2.690 2.690
8.070 8.070 8.070
0.000 0.000 0.000
5.380 5.380 5.380
5.380 5.380 2.636
5.380 2.636 5.380
8.123 5.380 5.380
2.636 5.380 5.380
5.380 8.123 5.380
5.380 5.380 8.123
```

***

Record 5
Starting from a crystal structure in OQMD, relaxed with GGA-PBE, the powder XRD pattern of Cs2InAgCl6 was simulated for a wavelength of 1.5418 Å.

Principal peaks in the range 2θ from 10° to 90°, in order of falling intensity:
d = 3.745 Å, I 100
d = 2.648 Å, I 57
d = 2.162 Å, I 45
d = 1.872 Å, I 39
d = 1.415 Å, I 24
d = 1.675 Å, I 21

Structure:
```
Cs2InAgCl6
1.0
0.000 5.296 5.296
5.296 0.000 5.296
5.296 5.296 0.000
Cs In Ag Cl
2 1 1 6
Cartesian
2.648 2.648 2.648
7.944 7.944 7.944
0.000 0.000 0.000
5.296 5.296 5.296
5.296 5.296 2.552
5.296 2.552 5.296
8.040 5.296 5.296
2.552 5.296 5.296
5.296 8.040 5.296
5.296 5.296 8.040
```

***

Record 6
Starting from a crystal structure in OQMD, relaxed with GGA-PBE, the powder XRD pattern of Cs2InAgCl6 was simulated for a wavelength of 1.5418 Å.

Principal peaks in the range 2θ from 10° to 90°, in order of falling intensity:
d = 3.761 Å, I 100
d = 3.622 Å, I 100
d = 2.609 Å, I 91
d = 1.971 Å, I 53
d = 2.117 Å, I 47
d = 4.686 Å, I 36

Structure:
```
Cs2InAgCl6
1.0
7.243 0.000 0.000
-3.622 6.273 0.000
0.000 0.000 14.096
Cs In Ag Cl
4 2 2 12
Cartesian
0.000 4.182 1.090
0.000 4.182 5.958
3.622 2.091 8.138
3.622 2.091 13.006
0.000 4.182 10.572
3.622 2.091 3.524
0.000 0.000 3.524
0.000 0.000 10.572
-0.139 2.206 12.232
-1.781 5.049 8.913
0.139 2.206 8.913
-1.641 5.290 12.232
1.980 0.983 5.184
1.841 1.224 1.864
1.781 5.049 12.232
1.641 5.290 8.913
5.263 0.983 1.864
3.483 4.067 5.184
5.402 1.224 5.184
3.761 4.067 1.864
```

***

Record 7
Starting from a crystal structure in OQMD, relaxed with GGA-PBE, the powder XRD pattern of Cs2LiAgCl4 was simulated for a wavelength of 1.5418 Å.

Principal peaks in the range 2θ from 10° to 90°, in order of falling intensity:
d = 3.537 Å, I 100
d = 2.501 Å, I 74
d = 2.867 Å, I 60
d = 3.499 Å, I 57
d = 4.455 Å, I 56
d = 2.734 Å, I 51

Structure:
```
Cs2LiAgCl4
1.0
5.002 0.000 0.000
0.000 5.002 0.000
0.000 0.000 9.794
Cs Li Ag Cl
2 1 1 4
Cartesian
0.000 0.000 0.000
2.501 2.501 3.857
0.000 0.000 5.850
2.501 2.501 7.667
0.000 0.000 3.499
0.000 2.501 6.598
2.501 0.000 6.598
2.501 2.501 0.409
```

***

Record 8
Starting from a crystal structure in OQMD, relaxed with GGA-PBE, the powder XRD pattern of Ag3Cl2F2 was simulated for a wavelength of 1.5418 Å.

Principal peaks in the range 2θ from 10° to 90°, in order of falling intensity:
d = 3.524 Å, I 100
d = 2.689 Å, I 71
d = 2.673 Å, I 68
d = 3.145 Å, I 54
d = 2.843 Å, I 48
d = 1.795 Å, I 33

Structure:
```
Ag3Cl2F2
1.0
3.616 0.000 0.000
-0.014 6.353 0.000
-1.771 -2.352 5.804
Ag Cl F
3 2 2
Cartesian
0.000 0.000 0.000
0.016 3.524 2.427
1.815 0.477 3.378
0.004 -0.739 4.748
1.827 4.740 1.056
0.013 1.128 2.040
1.818 2.873 3.764
```

***

Record 9
Starting from a crystal structure in OQMD, relaxed with GGA-PBE, the powder XRD pattern of FeAgICl3 was simulated for a wavelength of 1.5418 Å.

Principal peaks in the range 2θ from 10° to 90°, in order of falling intensity:
d = 5.158 Å, I 100
d = 5.218 Å, I 89
d = 3.422 Å, I 68
d = 3.399 Å, I 63
d = 3.273 Å, I 55
d = 3.295 Å, I 51

Structure:
```
FeAgICl3
1.0
5.937 0.000 0.000
-0.066 6.036 0.000
-2.936 -2.713 5.468
Fe Ag I Cl
1 1 1 3
Cartesian
0.000 0.000 0.000
0.020 3.220 2.796
1.592 1.458 1.349
-1.714 1.973 4.273
1.740 -1.391 4.219
4.560 4.840 1.325
```

***

Record 10
Starting from a crystal structure in OQMD, relaxed with GGA-PBE, the powder XRD pattern of Tl2FeAgCl6 was simulated for a wavelength of 1.5418 Å.

Principal peaks in the range 2θ from 10° to 90°, in order of falling intensity:
d = 3.533 Å, I 100
d = 3.589 Å, I 100
d = 2.518 Å, I 92
d = 2.061 Å, I 48
d = 2.922 Å, I 42
d = 1.766 Å, I 31

Structure:
```
Tl2FeAgCl6
1.0
3.589 2.072 5.725
-3.589 2.072 5.725
0.000 -4.144 5.725
Tl Fe Ag Cl
2 1 1 6
Cartesian
0.000 0.000 4.285
0.000 0.000 12.890
0.000 0.000 0.000
0.000 0.000 8.587
-2.071 0.821 7.102
-1.747 -1.383 10.073
0.324 -2.205 7.102
-0.324 2.205 10.073
1.747 1.383 7.102
2.071 -0.821 10.073
```

***

Record 11
Starting from a crystal structure in OQMD, relaxed with GGA-PBE, the powder XRD pattern of Rb2GdAgCl6 was simulated for a wavelength of 1.5418 Å.

Principal peaks in the range 2θ from 10° to 90°, in order of falling intensity:
d = 3.802 Å, I 100
d = 2.195 Å, I 46
d = 1.901 Å, I 44
d = 2.685 Å, I 43
d = 5.376 Å, I 25
d = 2.694 Å, I 22

Structure:
```
Rb2GdAgCl6
1.0
-3.798 3.798 5.388
3.798 -3.798 5.388
3.798 3.798 -5.388
Rb Gd Ag Cl
2 1 1 6
Cartesian
3.798 0.000 2.694
0.000 3.798 2.694
0.000 0.000 0.000
0.000 0.000 5.388
0.000 0.000 2.647
1.872 1.872 0.000
1.926 -1.926 5.388
-1.926 1.926 5.388
0.000 0.000 8.129
1.926 1.926 5.388
```

***

Record 12
Starting from a crystal structure in OQMD, relaxed with GGA-PBE, the powder XRD pattern of AgGeCl6 was simulated for a wavelength of 1.5418 Å.

Principal peaks in the range 2θ from 10° to 90°, in order of falling intensity:
d = 5.461 Å, I 100
d = 2.364 Å, I 69
d = 2.730 Å, I 56
d = 2.852 Å, I 53
d = 1.672 Å, I 43
d = 3.344 Å, I 30

Structure:
```
AgGeCl6
1.0
0.000 4.729 4.729
4.729 0.000 4.729
4.729 4.729 0.000
Ag Ge Cl
1 1 6
Cartesian
0.000 0.000 0.000
2.364 2.364 2.364
2.364 2.364 0.069
2.364 0.069 2.364
4.660 2.364 2.364
0.069 2.364 2.364
2.364 4.660 2.364
2.364 2.364 4.660
```

***

Record 13
Starting from a crystal structure in OQMD, relaxed with GGA-PBE, the powder XRD pattern of AgHClO was simulated for a wavelength of 1.5418 Å.

Principal peaks in the range 2θ from 10° to 90°, in order of falling intensity:
d = 3.023 Å, I 100
d = 4.463 Å, I 70
d = 3.590 Å, I 54
d = 6.085 Å, I 29
d = 2.363 Å, I 29
d = 2.151 Å, I 25

Structure:
```
AgHClO
1.0
9.908 0.000 0.000
0.000 4.303 0.000
-2.930 0.000 6.085
Ag H Cl O
4 4 4 4
Cartesian
1.923 0.000 1.084
0.101 2.151 5.001
6.877 2.151 1.084
5.055 0.000 5.001
0.722 2.151 0.819
1.302 0.000 5.266
5.675 0.000 0.819
6.256 2.151 5.266
-0.288 0.000 1.970
2.312 2.151 4.115
4.666 2.151 1.970
7.266 0.000 4.115
1.709 2.151 0.771
0.315 0.000 5.314
6.663 0.000 0.771
5.269 2.151 5.314
```

***

Record 14
Starting from a crystal structure in OQMD, relaxed with GGA-PBE, the powder XRD pattern of Rb2AgHg2Cl8 was simulated for a wavelength of 1.5418 Å.

Principal peaks in the range 2θ from 10° to 90°, in order of falling intensity:
d = 2.985 Å, I 100
d = 4.659 Å, I 78
d = 3.386 Å, I 72
d = 3.458 Å, I 62
d = 5.873 Å, I 60
d = 2.329 Å, I 53

Structure:
```
Rb2AgHg2Cl8
1.0
5.846 -3.458 0.000
5.846 3.458 0.000
-3.067 0.000 9.447
Rb Ag Hg Cl
2 1 2 8
Cartesian
0.207 0.000 3.125
8.418 0.000 6.322
4.313 0.000 4.724
3.927 0.000 1.000
4.698 0.000 8.447
3.128 1.732 3.423
1.787 0.000 0.025
5.497 1.732 6.024
2.491 0.000 7.613
6.134 0.000 1.834
3.128 -1.732 3.423
6.838 0.000 9.422
5.497 -1.732 6.024
```